1.
V3Cd5O12: calculated X-ray powder pattern (copper Kα), based on a structure optimized by DFT (GGA+U).
Peak positions follow from Bragg's law for the DFT cell and can differ from measured ones.

Principal peaks in the range 2θ from 15° to 90°, sorted by position:
2θ/deg	I/Imax
19.30	21
28.27	46
29.79	100
29.99	25
30.79	37
31.77	64
32.22	31
41.92	20
47.59	21
56.26	19

Structure:
Cell lengths 9.482, 9.482, 7.145 Å; angles 106.34, 106.34, 95.23 degrees
Sites, in units of the cell vectors:
V: 0.157 0.382 0.865
V: 0.197 0.803 0.750
V: 0.382 0.157 0.365
V: 0.618 0.843 0.635
V: 0.803 0.197 0.250
V: 0.843 0.618 0.135
Cd: 0.000 0.000 0.000
Cd: 0.000 0.000 0.500
Cd: 0.139 0.441 0.374
Cd: 0.228 0.772 0.250
Cd: 0.441 0.139 0.874
Cd: 0.495 0.505 0.250
Cd: 0.505 0.495 0.750
Cd: 0.559 0.861 0.126
Cd: 0.772 0.228 0.750
Cd: 0.861 0.559 0.626
O: 0.014 0.784 0.763
O: 0.030 0.210 0.795
O: 0.100 0.468 0.683
O: 0.171 0.508 0.105
O: 0.210 0.030 0.295
O: 0.216 0.986 0.737
O: 0.223 0.692 0.527
O: 0.308 0.777 0.973
O: 0.344 0.355 0.884
O: 0.355 0.344 0.384
O: 0.468 0.100 0.183
O: 0.492 0.829 0.395
O: 0.508 0.171 0.605
O: 0.532 0.900 0.817
O: 0.645 0.656 0.616
O: 0.656 0.645 0.116
O: 0.692 0.223 0.027
O: 0.777 0.308 0.473
O: 0.784 0.014 0.263
O: 0.790 0.970 0.705
O: 0.829 0.492 0.895
O: 0.900 0.532 0.317
O: 0.970 0.790 0.205
O: 0.986 0.216 0.237


2.
YCd2WO6: calculated X-ray powder pattern (copper Kα), based on a structure optimized by DFT (GGA+U).
Peak positions follow from Bragg's law for the DFT cell and can differ from measured ones.

Principal peaks in the range 2θ from 15° to 90°, sorted by position:
2θ/deg	I/Imax
18.91	11
31.07	100
31.25	23
31.55	25
44.04	13
45.00	21
54.98	11
55.50	18
55.83	12
55.95	11

Structure:
Cell lengths 5.671, 5.725, 9.977 Å; angles 90.00, 124.47, 90.00 degrees
Sites, in units of the cell vectors:
Y: 0.000 0.000 0.000
Y: 0.000 0.500 0.500
Cd: 0.247 0.038 0.747
Cd: 0.247 0.462 0.247
Cd: 0.753 0.538 0.753
Cd: 0.753 0.962 0.253
W: 0.500 0.000 0.500
W: 0.500 0.500 0.000
O: 0.140 0.171 0.444
O: 0.140 0.329 0.944
O: 0.280 0.706 0.440
O: 0.280 0.794 0.940
O: 0.372 0.065 0.265
O: 0.372 0.435 0.765
O: 0.628 0.565 0.235
O: 0.628 0.935 0.735
O: 0.720 0.206 0.060
O: 0.720 0.294 0.560
O: 0.860 0.671 0.056
O: 0.860 0.829 0.556